This entry pairs a crystal structure of K2TiMnO4 with its theoretical powder diffractogram. Radiation: Cu Ka. Structure: a PBE+U-relaxed structure.
Peak positions follow from Bragg's law for the DFT cell and can differ from measured ones.

Atomic structure:
a b c (Å): 6.114 6.884 6.552
angles (deg): 90.00 90.00 90.00
Fractional coordinates of all 16 atoms:
1 K 0.250 0.000 0.233
2 K 0.250 0.500 0.233
3 K 0.750 0.000 0.767
4 K 0.750 0.500 0.767
5 Ti 0.250 0.250 0.678
6 Ti 0.750 0.750 0.322
7 Mn 0.250 0.750 0.687
8 Mn 0.750 0.250 0.313
9 O 0.011 0.250 0.512
10 O 0.250 0.021 0.828
11 O 0.250 0.479 0.828
12 O 0.489 0.250 0.512
13 O 0.511 0.750 0.488
14 O 0.750 0.521 0.172
15 O 0.750 0.979 0.172
16 O 0.989 0.750 0.488

Most intense lines, 5 to 70 degrees two-theta, most intense first:
d (Å)  intensity
2.727  100.0
3.053  87.8
2.235  49.2
3.276  34.9
6.552  29.8
1.579  24.3